1.
Simulated XRD peak list
Compound: DyTaIO4
Radiation: Cu Kα (weighted mean of Kα1 and Kα2)
Structure: a crystal structure in Alexandria, relaxed with GGA-PBE
Neutral-atom scattering factors, no anomalous dispersion.

Atomic structure:
Cell lengths 13.0894, 6.3934, 6.8230 Å; angles 90.00, 106.67, 90.00 degrees
Space group C2/m (No. 12)
Unique sites:
Dy  0.2065  0.0000  0.3226 [4 per cell]
Ta  0.1116  0.0000  0.7088 [4 per cell]
I  0.0414  0.5000  0.2041 [4 per cell]
O  0.0393  0.0000  0.3459 [4 per cell]
O  0.1598  0.0000  0.9920 [4 per cell]
O  0.1825  0.2289  0.6269 [8 per cell]

The 8 most intense peaks (10° ≤ 2θ ≤ 90°), by intensity:
2θ/deg	Rel. int.
25.46	100
27.91	92
25.84	89
31.78	74
27.29	54
32.70	53
50.68	45
39.43	41

2.
Simulated XRD peak list
Compound: Ga2Sn2PtAu2
Radiation: Cu Kα (weighted mean of Kα1 and Kα2)
Structure: a crystal structure in Alexandria, relaxed with GGA-PBE
Neutral-atom scattering factors, no anomalous dispersion.

Atomic structure:
Cell lengths 3.9823, 6.4294, 6.8169 Å; angles 116.56, 106.96, 90.09 degrees
Space group P-1 (No. 2)
Unique sites:
Ga  0.0908  0.4533  0.1759 [2 per cell]
Sn  0.3724  0.0472  0.7427 [2 per cell]
Pt  0.0000  0.0000  0.0000 [1 per cell]
Au  0.2577  0.3278  0.5238 [2 per cell]

The 8 most intense peaks (10° ≤ 2θ ≤ 90°), by intensity:
2θ/deg	Rel. int.
41.47	100
30.43	66
36.95	60
32.33	47
26.33	46
42.72	45
45.56	43
40.82	42

3.
Simulated XRD peak list
Compound: LiHfPCO7
Radiation: Cu Kα (weighted mean of Kα1 and Kα2)
Structure: a crystal structure in Alexandria, relaxed with GGA-PBE
Neutral-atom scattering factors, no anomalous dispersion.

Atomic structure:
Cell lengths 5.6712, 6.6211, 9.9448 Å; angles 90.00, 90.09, 90.00 degrees
Space group P2_1 (No. 4)
Unique sites:
Li  0.2490  0.0000  0.0980 [2 per cell]
Hf  0.2517  0.5884  0.6530 [2 per cell]
P  0.2490  0.0892  0.5612 [2 per cell]
C  0.2503  0.6527  0.9109 [2 per cell]
O  0.0275  0.0898  0.4703 [2 per cell]
O  0.0564  0.6069  0.8405 [2 per cell]
O  0.2495  0.7341  0.0231 [2 per cell]
O  0.2510  0.2785  0.6507 [2 per cell]
O  0.2510  0.9001  0.6496 [2 per cell]
O  0.4449  0.6075  0.8414 [2 per cell]
O  0.4664  0.0897  0.4676 [2 per cell]

The 8 most intense peaks (10° ≤ 2θ ≤ 90°), by intensity:
2θ/deg	Rel. int.
18.01	100
16.08	92
23.80	57
41.94	45
20.62	44
26.92	43
34.13	32
36.24	19

4.
Simulated XRD peak list
Compound: VMoOs4
Radiation: Cu Kα (weighted mean of Kα1 and Kα2)
Structure: a crystal structure in Alexandria, relaxed with GGA-PBE
Neutral-atom scattering factors, no anomalous dispersion.

Atomic structure:
Cell lengths 4.3443, 4.3443, 5.3874 Å; angles 90.00, 90.00, 120.00 degrees
Space group P-3m1 (No. 164)
Unique sites:
V  0.0000  0.0000  0.0000 [1 per cell]
Mo  0.0000  0.0000  0.5000 [1 per cell]
Os  0.3333  0.6667  0.1288 [2 per cell]
Os  0.3333  0.6667  0.6339 [2 per cell]

The 8 most intense peaks (10° ≤ 2θ ≤ 90°), by intensity:
2θ/deg	Rel. int.
41.22	100
41.58	87
75.62	34
59.98	33
23.65	23
75.86	15
74.88	11
84.67	10

5.
Simulated XRD peak list
Compound: Ni8IrPt3
Radiation: Cu Kα (weighted mean of Kα1 and Kα2)
Structure: a crystal structure in Alexandria, relaxed with GGA-PBE
Neutral-atom scattering factors, no anomalous dispersion.

Atomic structure:
Cell lengths 5.7033, 5.7033, 11.3665 Å; angles 90.00, 90.00, 90.00 degrees
Space group I4/mmm (No. 139)
Unique sites:
Ni  0.2457  0.2457  0.1230 [16 per cell]
Ir  0.0000  0.0000  0.0000 [2 per cell]
Pt  0.0000  0.0000  0.5000 [2 per cell]
Pt  0.0000  0.5000  0.2500 [4 per cell]

The 8 most intense peaks (10° ≤ 2θ ≤ 90°), by intensity:
2θ/deg	Rel. int.
45.01	100
27.11	92
53.29	29
83.00	22
53.44	15
72.34	12
83.17	11
65.46	11

6.
Simulated XRD peak list
Compound: SiC
Radiation: Cu Kα (weighted mean of Kα1 and Kα2)
Structure: a crystal structure in Alexandria, relaxed with GGA-PBE
Neutral-atom scattering factors, no anomalous dispersion.

Atomic structure:
Cell lengths 3.0919, 3.0919, 5.0737 Å; angles 90.00, 90.00, 120.00 degrees
Space group P6_3mc (No. 186)
Unique sites:
Si  0.3333  0.6667  0.0000 [2 per cell]
C  0.3333  0.6667  0.6242 [2 per cell]

The 8 most intense peaks (10° ≤ 2θ ≤ 90°), by intensity:
2θ/deg	Rel. int.
38.00	100
33.47	74
35.38	51
65.25	47
59.83	46
71.46	35
49.50	27
73.10	16

7.
Simulated XRD peak list
Compound: K2RbCd2Bi2
Radiation: Cu Kα (weighted mean of Kα1 and Kα2)
Structure: a crystal structure in Alexandria, relaxed with GGA-PBE
Neutral-atom scattering factors, no anomalous dispersion.

Atomic structure:
Cell lengths 5.3901, 5.3901, 33.8262 Å; angles 90.00, 90.00, 120.00 degrees
Space group R-3m (No. 166, hexagonal axes)
Unique sites:
K  0.0000  0.0000  0.1332 [6 per cell]
Rb  0.0000  0.0000  0.0000 [3 per cell]
Cd  0.0000  0.0000  0.4092 [6 per cell]
Bi  0.0000  0.0000  0.2537 [6 per cell]

The 8 most intense peaks (10° ≤ 2θ ≤ 90°), by intensity:
2θ/deg	Rel. int.
33.24	100
15.72	81
28.48	64
36.97	62
46.63	45
26.55	40
19.73	30
21.75	30

8.
Simulated XRD peak list
Compound: NaSiS2O8
Radiation: Cu Kα (weighted mean of Kα1 and Kα2)
Structure: a crystal structure in Alexandria, relaxed with GGA-PBE
Neutral-atom scattering factors, no anomalous dispersion.

Atomic structure:
Cell lengths 8.0139, 5.2212, 7.2234 Å; angles 90.00, 91.50, 90.00 degrees
Space group C2/m (No. 12)
Unique sites:
Na  0.0000  0.0000  0.0000 [2 per cell]
Si  0.0000  0.0000  0.5000 [2 per cell]
S  0.1412  0.5000  0.2840 [4 per cell]
O  0.0314  0.2622  0.3070 [8 per cell]
O  0.2185  0.5000  0.1045 [4 per cell]
O  0.2335  0.0000  0.5566 [4 per cell]

The 8 most intense peaks (10° ≤ 2θ ≤ 90°), by intensity:
2θ/deg	Rel. int.
23.63	100
23.94	84
12.26	80
31.91	66
25.71	66
37.84	46
32.38	38
34.35	33

9.
Simulated XRD peak list
Compound: Li3Ca
Radiation: Cu Kα (weighted mean of Kα1 and Kα2)
Structure: a crystal structure in Alexandria, relaxed with GGA-PBE
Neutral-atom scattering factors, no anomalous dispersion.

Atomic structure:
Cell lengths 3.5566, 5.2841, 5.7025 Å; angles 90.00, 90.00, 90.00 degrees
Space group Pmm2 (No. 25)
Unique sites:
Li  0.0000  0.0000  0.0000 [1 per cell]
Li  0.0000  0.5000  0.3127 [1 per cell]
Li  0.5000  0.5000  0.8775 [1 per cell]
Ca  0.5000  0.0000  0.4994 [1 per cell]

The 8 most intense peaks (10° ≤ 2θ ≤ 90°), by intensity:
2θ/deg	Rel. int.
34.22	100
15.54	83
22.95	78
16.78	76
29.60	47
35.78	40
30.29	34
33.93	29

10.
Simulated XRD peak list
Compound: Mg6TiCdO8
Radiation: Cu Kα (weighted mean of Kα1 and Kα2)
Structure: a crystal structure in Alexandria, relaxed with GGA-PBE
Neutral-atom scattering factors, no anomalous dispersion.

Atomic structure:
Cell lengths 4.3804, 4.3804, 8.7808 Å; angles 90.00, 90.00, 90.00 degrees
Space group P4/mmm (No. 123)
Unique sites:
Mg  0.0000  0.0000  0.0000 [1 per cell]
Mg  0.0000  0.5000  0.2410 [4 per cell]
Mg  0.5000  0.5000  0.0000 [1 per cell]
Ti  0.0000  0.0000  0.5000 [1 per cell]
Cd  0.5000  0.5000  0.5000 [1 per cell]
O  0.0000  0.0000  0.2457 [2 per cell]
O  0.0000  0.5000  0.0000 [2 per cell]
O  0.0000  0.5000  0.5000 [2 per cell]
O  0.5000  0.5000  0.2316 [2 per cell]

The 8 most intense peaks (10° ≤ 2θ ≤ 90°), by intensity:
2θ/deg	Rel. int.
41.19	100
59.66	58
10.07	50
35.47	36
30.59	28
20.25	23
28.81	20
75.06	18

11.
Simulated XRD peak list
Compound: CaAcF6
Radiation: Cu Kα (weighted mean of Kα1 and Kα2)
Structure: a crystal structure in Alexandria, relaxed with GGA-PBE
Neutral-atom scattering factors, no anomalous dispersion.

Atomic structure:
Cell lengths 4.6735, 4.1998, 5.7723 Å; angles 90.00, 91.10, 90.00 degrees
Space group Pm (No. 6)
Unique sites:
Ca  0.0000  0.0000  0.0000 [1 per cell]
Ac  0.5053  0.5000  0.5091 [1 per cell]
F  0.0084  0.5000  0.6697 [1 per cell]
F  0.2387  0.0000  0.3666 [1 per cell]
F  0.2675  0.5000  0.0866 [1 per cell]
F  0.5248  0.0000  0.7941 [1 per cell]
F  0.7454  0.0000  0.3556 [1 per cell]
F  0.7735  0.5000  0.0910 [1 per cell]

The 8 most intense peaks (10° ≤ 2θ ≤ 90°), by intensity:
2θ/deg	Rel. int.
15.35	100
26.24	95
28.58	80
24.28	75
24.75	71
18.99	65
47.48	56
21.15	52

12.
Simulated XRD peak list
Compound: In2SnCl4
Radiation: Cu Kα (weighted mean of Kα1 and Kα2)
Structure: a crystal structure in Alexandria, relaxed with GGA-PBE
Neutral-atom scattering factors, no anomalous dispersion.

Atomic structure:
Cell lengths 7.4372, 8.0742, 16.1425 Å; angles 90.00, 90.00, 90.00 degrees
Space group Pbca (No. 61)
Unique sites:
In  0.0093  0.0838  0.1512 [8 per cell]
Sn  0.0000  0.0000  0.5000 [4 per cell]
Cl  0.1063  0.0367  0.6688 [8 per cell]
Cl  0.1873  0.1968  0.9668 [8 per cell]

The 8 most intense peaks (10° ≤ 2θ ≤ 90°), by intensity:
2θ/deg	Rel. int.
23.19	100
33.27	45
41.64	44
23.93	38
37.24	35
32.74	32
19.60	30
22.02	29